(1)
Starting from DFT lattice parameters and positions (PBE), the powder XRD pattern of Er5Ge was calculated for Cu Ka.
Intensities are scaled so that the largest is 100.

Cell and atoms:
```
Er5Ge
1.0
2.333 -7.284 0.000
2.333 7.284 0.000
0.000 0.000 4.754
Er Ge
5 1
Cartesian
0.000 0.000 0.000
2.333 4.979 2.377
2.333 2.419 0.000
2.333 -2.419 0.000
2.333 -4.979 2.377
2.333 0.000 2.377
```

Most intense lines, 2θ from 10° to 90°, by angle:
Position (°2θ)  Rel. int.
32.60  100
37.02  17
37.85  17
38.58  16
53.98  12
55.16  11
63.95  14
65.06  14
66.06  13
68.30  12

(2)
Starting from DFT lattice parameters and positions (PBE), the powder XRD pattern of AcPr4N4 was calculated for Cu Ka.
Intensities are scaled so that the largest is 100.

Cell and atoms:
```
AcPr4N4
1.0
-4.214 4.214 2.614
4.214 -4.214 2.614
4.214 4.214 -2.614
Ac Pr N
1 4 4
Cartesian
0.000 0.000 0.000
3.298 1.542 0.000
2.672 -0.915 2.614
1.542 5.129 0.000
0.915 2.672 2.614
5.855 0.810 0.000
0.810 2.573 0.000
3.404 1.641 2.614
-1.641 3.404 2.614
```

Most intense lines, 2θ from 10° to 90°, by angle:
Position (°2θ)  Rel. int.
19.99  8
29.21  100
33.63  48
34.31  22
48.30  15
48.80  33
57.45  29
58.35  15
60.58  15
79.04  12

(3)
Starting from DFT lattice parameters and positions (PBE), the powder XRD pattern of PrNpNi10 was calculated for Cu Ka.
Intensities are scaled so that the largest is 100.

Cell and atoms:
```
PrNpNi10
1.0
3.969 0.000 0.000
0.000 4.913 0.000
0.000 0.000 8.517
Pr Np Ni
1 1 10
Cartesian
0.000 0.000 0.000
0.000 2.457 4.258
0.000 0.000 2.897
0.000 0.000 5.619
0.000 2.457 1.517
0.000 2.457 7.000
1.985 0.000 4.258
1.985 1.250 2.187
1.985 1.250 6.330
1.985 2.457 0.000
1.985 3.664 2.187
1.985 3.664 6.330
```

Most intense lines, 2θ from 10° to 90°, by angle:
Position (°2θ)  Rel. int.
30.80  61
36.56  35
42.47  37
43.30  100
45.71  26
59.90  16
62.27  17
64.16  21
70.48  22
77.71  14